# 1
The following is a simulated powder X-ray diffraction pattern of CuNiH3. It was derived from the GGA-PBE geometry in Alexandria, using a wavelength of 1.5418 Å.
Kinematic intensities with the Lorentz-polarization factor, no thermal factor.

Most intense lines, 10 to 90 degrees two-theta, by angle:
| 2θ/deg | intensity |
| --- | --- |
| 21.63 | 15 |
| 24.85 | 14 |
| 37.81 | 42 |
| 41.78 | 100 |
| 43.97 | 68 |
| 57.60 | 12 |
| 62.26 | 24 |
| 76.27 | 15 |
| 77.81 | 22 |
| 83.57 | 17 |

Lattice parameters (Å, degrees): 4.808 4.808 4.808 53.45 53.45 53.45
Element x y z (fractional)
1 Cu 0.104 0.104 0.104
2 Cu 0.896 0.896 0.896
3 Ni 0.321 0.321 0.321
4 Ni 0.679 0.679 0.679
5 H 0.104 0.507 0.646
6 H 0.354 0.493 0.896
7 H 0.493 0.896 0.354
8 H 0.507 0.646 0.104
9 H 0.646 0.104 0.507
10 H 0.896 0.354 0.493



# 2
The following is a simulated powder X-ray diffraction pattern of CuNi6H3. It was derived from the GGA-PBE geometry in Alexandria, using a wavelength of 1.5418 Å.
Kinematic intensities with the Lorentz-polarization factor, no thermal factor.

Most intense lines, 10 to 90 degrees two-theta, by angle:
| 2θ/deg | intensity |
| --- | --- |
| 21.52 | 15 |
| 21.60 | 15 |
| 24.89 | 10 |
| 43.76 | 50 |
| 43.97 | 100 |
| 44.07 | 50 |
| 51.06 | 63 |
| 51.45 | 31 |
| 74.87 | 9 |
| 75.28 | 18 |

Lattice parameters (Å, degrees): 5.029 5.037 5.048 90.42 119.54 119.84
Element x y z (fractional)
1 Cu 0.000 0.000 0.000
2 Ni 0.001 0.500 0.003
3 Ni 0.500 0.999 0.502
4 Ni 0.502 0.502 0.502
5 Ni 0.503 0.003 0.004
6 Ni 0.505 0.501 0.005
7 Ni 0.999 0.002 0.502
8 H 0.479 0.242 0.720
9 H 0.496 0.749 0.244
10 H 0.813 0.406 0.219



# 3
The following is a simulated powder X-ray diffraction pattern of Cu2Ni2H5. It was derived from the GGA-PBE geometry in Alexandria, using a wavelength of 1.5418 Å.
Kinematic intensities with the Lorentz-polarization factor, no thermal factor.

Most intense lines, 10 to 90 degrees two-theta, by angle:
| 2θ/deg | intensity |
| --- | --- |
| 15.51 | 23 |
| 31.32 | 29 |
| 32.93 | 15 |
| 42.06 | 42 |
| 42.19 | 36 |
| 42.98 | 100 |
| 44.56 | 57 |
| 46.84 | 28 |
| 59.21 | 12 |
| 67.88 | 21 |

Lattice parameters (Å, degrees): 6.070 6.070 4.318 105.24 105.24 24.64
Element x y z (fractional)
1 Cu 0.145 0.145 0.360
2 Cu 0.855 0.855 0.640
3 Ni 0.433 0.433 0.204
4 Ni 0.567 0.567 0.796
5 H 0.000 0.000 0.500
6 H 0.144 0.144 0.973
7 H 0.315 0.315 0.358
8 H 0.685 0.685 0.642
9 H 0.856 0.856 0.027



# 4
The following is a simulated powder X-ray diffraction pattern of CuNi8H5. It was derived from the GGA-PBE geometry in Alexandria, using a wavelength of 1.5418 Å.
Kinematic intensities with the Lorentz-polarization factor, no thermal factor.

Most intense lines, 10 to 90 degrees two-theta, by angle:
| 2θ/deg | intensity |
| --- | --- |
| 40.79 | 34 |
| 41.65 | 13 |
| 42.86 | 50 |
| 44.96 | 100 |
| 47.32 | 77 |
| 56.67 | 17 |
| 73.67 | 28 |
| 78.27 | 18 |
| 83.44 | 12 |
| 89.17 | 22 |

Lattice parameters (Å, degrees): 6.800 6.800 6.500 102.93 102.93 21.82
Element x y z (fractional)
1 Cu 0.000 0.000 0.000
2 Ni 0.073 0.073 0.670
3 Ni 0.258 0.258 0.330
4 Ni 0.336 0.336 0.999
5 Ni 0.409 0.409 0.674
6 Ni 0.591 0.591 0.326
7 Ni 0.664 0.664 0.001
8 Ni 0.742 0.742 0.670
9 Ni 0.927 0.927 0.330
10 H 0.162 0.162 0.480
11 H 0.202 0.202 0.843
12 H 0.500 0.500 0.500
13 H 0.798 0.798 0.157
14 H 0.838 0.838 0.520



# 5
The following is a simulated powder X-ray diffraction pattern of CuNi2H3. It was derived from the GGA-PBE geometry in Alexandria, using a wavelength of 1.5418 Å.
Kinematic intensities with the Lorentz-polarization factor, no thermal factor.

Most intense lines, 10 to 90 degrees two-theta, by angle:
| 2θ/deg | intensity |
| --- | --- |
| 41.57 | 100 |
| 48.01 | 17 |
| 48.47 | 17 |
| 48.66 | 16 |
| 70.62 | 15 |
| 71.13 | 9 |
| 84.98 | 6 |
| 85.13 | 5 |
| 85.75 | 11 |
| 85.96 | 5 |

Lattice parameters (Å, degrees): 2.668 2.668 5.920 103.04 103.04 89.48
Element x y z (fractional)
1 Cu 0.000 0.000 0.000
2 Ni 0.336 0.336 0.669
3 Ni 0.664 0.664 0.331
4 H 0.176 0.176 0.350
5 H 0.500 0.500 0.000
6 H 0.824 0.824 0.650



# 6
The following is a simulated powder X-ray diffraction pattern of CuNiH6Pb. It was derived from the GGA-PBE geometry in Alexandria, using a wavelength of 1.5418 Å.
Kinematic intensities with the Lorentz-polarization factor, no thermal factor.

Most intense lines, 10 to 90 degrees two-theta, by angle:
| 2θ/deg | intensity |
| --- | --- |
| 22.40 | 29 |
| 29.67 | 100 |
| 38.96 | 13 |
| 39.27 | 21 |
| 39.42 | 10 |
| 44.06 | 8 |
| 45.41 | 11 |
| 50.07 | 13 |
| 56.52 | 15 |
| 64.91 | 11 |

Lattice parameters (Å, degrees): 4.572 4.623 4.588 90.00 119.87 90.00
Element x y z (fractional)
1 Cu 0.000 0.000 0.000
2 Ni 0.333 0.000 0.665
3 H 0.205 0.219 0.354
4 H 0.205 0.781 0.354
5 H 0.212 0.218 0.856
6 H 0.212 0.782 0.856
7 H 0.648 0.217 0.827
8 H 0.648 0.783 0.827
9 Pb 0.785 0.500 0.407



# 7
The following is a simulated powder X-ray diffraction pattern of Pm2CuNiH6. It was derived from the GGA-PBE geometry in Alexandria, using a wavelength of 1.5418 Å.
Kinematic intensities with the Lorentz-polarization factor, no thermal factor.

Most intense lines, 10 to 90 degrees two-theta, by angle:
| 2θ/deg | intensity |
| --- | --- |
| 24.57 | 13 |
| 34.94 | 100 |
| 35.07 | 20 |
| 50.06 | 7 |
| 50.30 | 7 |
| 50.46 | 7 |
| 62.56 | 14 |
| 62.66 | 7 |
| 62.77 | 14 |
| 62.87 | 7 |

Lattice parameters (Å, degrees): 5.135 5.135 5.117 119.79 119.79 90.42
Element x y z (fractional)
1 Pm 0.250 0.750 0.000
2 Pm 0.750 0.250 0.000
3 Cu 0.000 0.000 0.500
4 Ni 0.500 0.500 0.500
5 H 0.261 0.261 0.022
6 H 0.261 0.739 0.500
7 H 0.262 0.262 0.502
8 H 0.738 0.738 0.498
9 H 0.739 0.261 0.500
10 H 0.739 0.739 0.978



# 8
The following is a simulated powder X-ray diffraction pattern of ScCu2NiH6. It was derived from the GGA-PBE geometry in Alexandria, using a wavelength of 1.5418 Å.
Kinematic intensities with the Lorentz-polarization factor, no thermal factor.

Most intense lines, 10 to 90 degrees two-theta, by angle:
| 2θ/deg | intensity |
| --- | --- |
| 20.73 | 47 |
| 23.42 | 65 |
| 32.88 | 61 |
| 36.00 | 59 |
| 37.19 | 69 |
| 37.88 | 100 |
| 40.97 | 93 |
| 41.27 | 94 |
| 43.86 | 61 |
| 44.91 | 54 |

Lattice parameters (Å, degrees): 4.404 4.489 4.643 68.96 89.15 66.48
Element x y z (fractional)
1 Sc 0.000 0.000 0.000
2 Cu 0.259 0.495 0.652
3 Cu 0.727 0.486 0.319
4 Ni 0.629 0.800 0.715
5 H 0.100 0.510 0.329
6 H 0.403 0.812 0.421
7 H 0.468 0.065 0.898
8 H 0.477 0.548 0.963
9 H 0.806 0.056 0.460
10 H 0.992 0.534 0.925